Ba2Mg2Bi3: computed powder XRD pattern (copper Kα), based on a crystal structure in Alexandria, relaxed with GGA-PBE.

The 8 most intense peaks (10° ≤ 2θ ≤ 80°), low angle first:
2θ 21.45, d 4.142, I = 51; 2θ 21.70, d 4.095, I = 100; 2θ 23.51, d 3.783, I = 96; 2θ 26.82, d 3.324, I = 98; 2θ 29.98, d 2.980, I = 78; 2θ 36.05, d 2.491, I = 72; 2θ 37.49, d 2.399, I = 61; 2θ 42.36, d 2.134, I = 52

Crystal structure
a = 9.6443 Å, b = 9.6443 Å, c = 13.8971 Å
α = 124.77°, β = 124.77°, γ = 29.94°
Atoms (fractional coordinates):
Ba 0.1030 0.1030 0.4494
Ba 0.2351 0.2351 0.8369
Ba 0.7649 0.7649 0.1631
Ba 0.8970 0.8970 0.5506
Mg 0.0852 0.0852 0.1537
Mg 0.4640 0.4640 0.1860
Mg 0.5360 0.5360 0.8140
Mg 0.9148 0.9148 0.8463
Bi 0.1132 0.1132 0.9610
Bi 0.3428 0.3428 0.6938
Bi 0.4191 0.4191 0.3685
Bi 0.5809 0.5809 0.6315
Bi 0.6572 0.6572 0.3062
Bi 0.8868 0.8868 0.0390